(1)
Cs3ZrU3Se8: computed powder XRD pattern (Cu Kα (weighted mean of Kα1 and Kα2)), based on a DFT-relaxed cell (PBE, Alexandria).

The 8 most intense peaks (10° ≤ 2θ ≤ 80°), low angle first:
two_theta	d/Å	intensity
10.24	8.638	47
20.56	4.319	13
28.52	3.130	100
34.89	2.572	17
37.47	2.400	35
43.87	2.064	34
53.16	1.723	17
71.30	1.323	15

Structural model:
a = 9.866 Å, b = 9.866 Å, c = 9.866 Å
α = 49.47°, β = 49.47°, γ = 49.47°
Atoms (fractional coordinates):
Cs  0.000  0.500  0.500
Cs  0.500  0.000  0.500
Cs  0.500  0.500  0.000
Zr  0.500  0.500  0.500
U  0.000  0.000  0.500
U  0.000  0.500  0.000
U  0.500  0.000  0.000
Se  0.230  0.230  0.230
Se  0.239  0.722  0.722
Se  0.278  0.278  0.761
Se  0.278  0.761  0.278
Se  0.722  0.239  0.722
Se  0.722  0.722  0.239
Se  0.761  0.278  0.278
Se  0.770  0.770  0.770



(2)
Cs3VSe4: computed powder XRD pattern (Cu Kα (weighted mean of Kα1 and Kα2)), based on a DFT-relaxed cell (PBE, Alexandria).

The 8 most intense peaks (10° ≤ 2θ ≤ 80°), low angle first:
two_theta	d/Å	intensity
22.72	3.915	84
24.32	3.659	48
27.04	3.298	80
27.48	3.246	79
28.15	3.170	90
28.67	3.113	57
29.50	3.028	100
34.80	2.578	54

Structural model:
a = 10.257 Å, b = 12.099 Å, c = 10.282 Å
α = 90.00°, β = 90.00°, γ = 90.00°
Atoms (fractional coordinates):
Cs  0.046  0.043  0.207
Cs  0.046  0.457  0.207
Cs  0.146  0.750  0.411
Cs  0.354  0.250  0.911
Cs  0.454  0.543  0.707
Cs  0.454  0.957  0.707
Cs  0.546  0.043  0.293
Cs  0.546  0.457  0.293
Cs  0.646  0.750  0.089
Cs  0.854  0.250  0.589
Cs  0.954  0.543  0.793
Cs  0.954  0.957  0.793
V  0.222  0.750  0.983
V  0.278  0.250  0.483
V  0.722  0.750  0.517
V  0.778  0.250  0.017
Se  0.014  0.750  0.068
Se  0.170  0.093  0.548
Se  0.170  0.407  0.548
Se  0.209  0.750  0.760
Se  0.291  0.250  0.260
Se  0.330  0.593  0.048
Se  0.330  0.907  0.048
Se  0.486  0.250  0.568
Se  0.514  0.750  0.432
Se  0.670  0.093  0.952
Se  0.670  0.407  0.952
Se  0.709  0.750  0.740
Se  0.791  0.250  0.240
Se  0.830  0.593  0.452
Se  0.830  0.907  0.452
Se  0.986  0.250  0.932



(3)
CsWSe3: computed powder XRD pattern (Cu Kα (weighted mean of Kα1 and Kα2)), based on a DFT-relaxed cell (PBE, Alexandria).

The 8 most intense peaks (10° ≤ 2θ ≤ 80°), low angle first:
two_theta	d/Å	intensity
22.46	3.959	59
22.66	3.924	64
23.38	3.804	38
24.06	3.699	100
30.39	2.941	77
32.02	2.795	44
39.52	2.281	51
41.26	2.188	47

Structural model:
a = 9.818 Å, b = 6.664 Å, c = 9.371 Å
α = 90.00°, β = 98.56°, γ = 90.00°
Atoms (fractional coordinates):
Cs  0.123  0.156  0.211
Cs  0.123  0.344  0.711
Cs  0.877  0.656  0.289
Cs  0.877  0.844  0.789
W  0.423  0.740  0.592
W  0.423  0.760  0.092
W  0.577  0.240  0.908
W  0.577  0.260  0.408
Se  0.184  0.672  0.068
Se  0.184  0.828  0.568
Se  0.352  0.073  0.950
Se  0.352  0.427  0.450
Se  0.463  0.584  0.842
Se  0.463  0.916  0.342
Se  0.537  0.084  0.658
Se  0.537  0.416  0.158
Se  0.648  0.573  0.550
Se  0.648  0.927  0.050
Se  0.816  0.172  0.432
Se  0.816  0.328  0.932



(4)
Cs2WSe5: computed powder XRD pattern (Cu Kα (weighted mean of Kα1 and Kα2)), based on a DFT-relaxed cell (PBE, Alexandria).

The 8 most intense peaks (10° ≤ 2θ ≤ 80°), low angle first:
two_theta	d/Å	intensity
11.40	7.759	100
12.53	7.064	47
16.58	5.347	90
20.50	4.333	70
22.38	3.973	60
25.21	3.532	44
28.01	3.186	73
38.93	2.313	66

Structural model:
a = 5.696 Å, b = 7.934 Å, c = 15.519 Å
α = 90.00°, β = 90.00°, γ = 90.00°
Atoms (fractional coordinates):
Cs  0.000  0.000  0.000
Cs  0.000  0.000  0.324
Cs  0.500  0.500  0.500
Cs  0.500  0.500  0.824
W  0.000  0.500  0.211
W  0.500  0.000  0.711
Se  0.000  0.500  0.363
Se  0.233  0.224  0.660
Se  0.233  0.776  0.660
Se  0.267  0.276  0.160
Se  0.267  0.724  0.160
Se  0.500  0.000  0.863
Se  0.733  0.276  0.160
Se  0.733  0.724  0.160
Se  0.767  0.224  0.660
Se  0.767  0.776  0.660



(5)
CsWSe4: computed powder XRD pattern (Cu Kα (weighted mean of Kα1 and Kα2)), based on a DFT-relaxed cell (PBE, Alexandria).

The 8 most intense peaks (10° ≤ 2θ ≤ 80°), low angle first:
two_theta	d/Å	intensity
10.83	8.166	47
12.38	7.149	100
19.75	4.495	39
28.34	3.149	20
29.99	2.980	23
31.46	2.844	18
33.90	2.644	17
37.54	2.396	39

Structural model:
a = 9.179 Å, b = 9.179 Å, c = 6.085 Å
α = 98.34°, β = 98.34°, γ = 51.33°
Atoms (fractional coordinates):
Cs  0.195  0.195  0.183
Cs  0.805  0.805  0.817
W  0.493  0.493  0.742
W  0.507  0.507  0.258
Se  0.219  0.607  0.453
Se  0.252  0.748  0.000
Se  0.325  0.325  0.744
Se  0.393  0.781  0.547
Se  0.607  0.219  0.453
Se  0.675  0.675  0.256
Se  0.748  0.252  0.000
Se  0.781  0.393  0.547



(6)
CsYSe4: computed powder XRD pattern (Cu Kα (weighted mean of Kα1 and Kα2)), based on a DFT-relaxed cell (PBE, Alexandria).

The 8 most intense peaks (10° ≤ 2θ ≤ 80°), low angle first:
two_theta	d/Å	intensity
28.02	3.184	100
29.54	3.024	23
33.19	2.699	61
34.59	2.593	36
37.48	2.399	24
45.36	1.999	40
51.67	1.769	20
62.20	1.493	19

Structural model:
a = 6.322 Å, b = 6.322 Å, c = 9.072 Å
α = 90.00°, β = 90.00°, γ = 90.00°
Atoms (fractional coordinates):
Cs  0.250  0.250  0.000
Cs  0.750  0.750  0.000
Y  0.250  0.250  0.500
Y  0.750  0.750  0.500
Se  0.114  0.614  0.311
Se  0.114  0.886  0.689
Se  0.386  0.614  0.689
Se  0.386  0.886  0.311
Se  0.614  0.114  0.689
Se  0.614  0.386  0.311
Se  0.886  0.114  0.311
Se  0.886  0.386  0.689



(7)
CsY4Se6: computed powder XRD pattern (Cu Kα (weighted mean of Kα1 and Kα2)), based on a DFT-relaxed cell (PBE, Alexandria).

The 8 most intense peaks (10° ≤ 2θ ≤ 80°), low angle first:
two_theta	d/Å	intensity
23.83	3.735	27
27.36	3.260	49
29.12	3.067	48
29.96	2.982	100
31.32	2.856	49
42.39	2.132	46
43.40	2.085	37
44.20	2.049	30

Structural model:
a = 7.242 Å, b = 7.242 Å, c = 22.161 Å
α = 90.00°, β = 90.00°, γ = 146.53°
Atoms (fractional coordinates):
Cs  0.157  0.843  0.750
Cs  0.843  0.157  0.250
Y  0.097  0.903  0.131
Y  0.097  0.903  0.369
Y  0.368  0.632  0.039
Y  0.368  0.632  0.461
Y  0.632  0.368  0.539
Y  0.632  0.368  0.961
Y  0.903  0.097  0.631
Y  0.903  0.097  0.869
Se  0.000  0.000  0.000
Se  0.000  0.000  0.500
Se  0.141  0.859  0.250
Se  0.271  0.729  0.580
Se  0.271  0.729  0.920
Se  0.464  0.536  0.148
Se  0.464  0.536  0.352
Se  0.536  0.464  0.648
Se  0.536  0.464  0.852
Se  0.729  0.271  0.080
Se  0.729  0.271  0.420
Se  0.859  0.141  0.750



(8)
Cs2Y3Se6: computed powder XRD pattern (Cu Kα (weighted mean of Kα1 and Kα2)), based on a DFT-relaxed cell (PBE, Alexandria).

The 8 most intense peaks (10° ≤ 2θ ≤ 80°), low angle first:
two_theta	d/Å	intensity
10.25	8.632	18
28.32	3.151	100
30.19	2.960	8
34.74	2.583	11
37.33	2.409	30
43.46	2.082	35
52.69	1.737	17
70.60	1.334	14

Structural model:
a = 7.214 Å, b = 7.214 Å, c = 8.961 Å
α = 97.71°, β = 97.71°, γ = 120.00°
Atoms (fractional coordinates):
Cs  0.167  0.833  0.000
Cs  0.833  0.167  0.000
Y  0.000  0.000  0.500
Y  0.333  0.667  0.500
Y  0.667  0.333  0.500
Se  0.062  0.395  0.684
Se  0.272  0.272  0.316
Se  0.395  0.062  0.684
Se  0.605  0.938  0.316
Se  0.728  0.728  0.684
Se  0.938  0.605  0.316



(9)
CsYSe: computed powder XRD pattern (Cu Kα (weighted mean of Kα1 and Kα2)), based on a DFT-relaxed cell (PBE, Alexandria).

The 8 most intense peaks (10° ≤ 2θ ≤ 80°), low angle first:
two_theta	d/Å	intensity
10.35	8.543	27
25.68	3.470	42
30.16	2.963	100
36.91	2.435	47
41.00	2.201	16
45.27	2.003	34
55.36	1.660	17
59.76	1.547	16

Structural model:
a = 4.006 Å, b = 4.006 Å, c = 17.086 Å
α = 90.00°, β = 90.00°, γ = 120.00°
Atoms (fractional coordinates):
Cs  0.000  0.000  0.141
Cs  0.000  0.000  0.859
Y  0.333  0.667  0.393
Y  0.333  0.667  0.607
Se  0.000  0.000  0.500
Se  0.333  0.667  0.000



(10)
Cs3ZnSe2: computed powder XRD pattern (Cu Kα (weighted mean of Kα1 and Kα2)), based on a DFT-relaxed cell (PBE, Alexandria).

The 8 most intense peaks (10° ≤ 2θ ≤ 80°), low angle first:
two_theta	d/Å	intensity
16.80	5.276	52
24.51	3.631	100
28.09	3.177	34
31.56	2.835	24
33.99	2.638	32
39.72	2.269	22
44.84	2.021	21
50.25	1.816	21

Structural model:
a = 13.747 Å, b = 13.747 Å, c = 13.747 Å
α = 151.02°, β = 52.44°, γ = 137.29°
Atoms (fractional coordinates):
Cs  0.090  0.750  0.340
Cs  0.250  0.250  0.000
Cs  0.410  0.750  0.660
Cs  0.590  0.250  0.340
Cs  0.750  0.750  0.000
Cs  0.910  0.250  0.660
Zn  0.000  0.500  0.500
Zn  0.500  0.000  0.500
Se  0.072  0.703  0.775
Se  0.428  0.203  0.630
Se  0.572  0.797  0.370
Se  0.928  0.297  0.225



(11)
Cs2Zr2Se5: computed powder XRD pattern (Cu Kα (weighted mean of Kα1 and Kα2)), based on a DFT-relaxed cell (PBE, Alexandria).

The 8 most intense peaks (10° ≤ 2θ ≤ 80°), low angle first:
two_theta	d/Å	intensity
10.16	8.710	45
25.09	3.550	46
30.37	2.943	85
32.58	2.749	31
32.97	2.717	46
36.50	2.462	47
36.93	2.434	100
52.57	1.741	30

Structural model:
a = 9.537 Å, b = 9.537 Å, c = 7.779 Å
α = 90.00°, β = 90.00°, γ = 48.07°
Atoms (fractional coordinates):
Cs  0.204  0.204  0.000
Cs  0.296  0.296  0.500
Cs  0.704  0.704  0.500
Cs  0.796  0.796  0.000
Zr  0.155  0.845  0.655
Zr  0.345  0.655  0.155
Zr  0.655  0.345  0.845
Zr  0.845  0.155  0.345
Se  0.000  0.000  0.000
Se  0.045  0.760  0.358
Se  0.240  0.955  0.358
Se  0.260  0.545  0.858
Se  0.455  0.740  0.858
Se  0.500  0.500  0.500
Se  0.545  0.260  0.142
Se  0.740  0.455  0.142
Se  0.760  0.045  0.642
Se  0.955  0.240  0.642



(12)
Cs4ZrSe4: computed powder XRD pattern (Cu Kα (weighted mean of Kα1 and Kα2)), based on a DFT-relaxed cell (PBE, Alexandria).

The 8 most intense peaks (10° ≤ 2θ ≤ 80°), low angle first:
two_theta	d/Å	intensity
23.95	3.716	84
24.52	3.631	52
27.53	3.240	100
29.91	2.987	36
32.68	2.740	44
34.12	2.628	39
34.54	2.597	92
51.06	1.789	40

Structural model:
a = 8.964 Å, b = 8.964 Å, c = 8.964 Å
α = 131.02°, β = 131.02°, γ = 71.79°
Atoms (fractional coordinates):
Cs  0.160  0.160  0.607
Cs  0.446  0.840  0.000
Cs  0.554  0.554  0.393
Cs  0.840  0.446  0.000
Zr  0.000  0.000  0.000
Se  0.093  0.700  0.000
Se  0.300  0.300  0.394
Se  0.700  0.093  0.000
Se  0.907  0.907  0.606